Starting from the PBE geometry in Alexandria, the powder diffractogram of CaZn2Au6 was simulated for Cu Kα (λ = 1.5418 Å).
Intensities are scaled so that the largest is 100.

Principal peaks in the range 2θ from 10° to 80°, by intensity:
2θ 37.1, I 100, hkl 2 0 0; 2θ 45.0, I 75, hkl 2 0 2; 2θ 18.3, I 60, hkl 1 0 0; 2θ 24.5, I 38, hkl 0 0 2; 2θ 53.5, I 26, hkl 2 0 3; 2θ 76.3, I 25, hkl 2 0 5; 2θ 40.7, I 25, hkl 1 1 2; 2θ 79.1, I 23, hkl 4 0 0; 2θ 39.2, I 20, hkl 2 0 1; 2θ 66.9, I 20, hkl 2 2 0

Lattice parameters (Å, degrees): 5.5911 5.5911 7.2801 90.00 90.00 120.00
Space group P6/mmm (No. 191)
Symmetry-distinct sites (fractional):
Ca1 0.0000 0.0000 0.0000 (multiplicity 1)
Zn1 0.3333 0.6667 0.5000 (multiplicity 2)
Au1 0.0000 0.5000 0.2048 (multiplicity 6)